[1]
This entry pairs a crystal structure of K3V3O8 with its simulated X-ray powder pattern. Radiation: Cu Ka. Structure: a GGA+U-relaxed structure.
Intensities are scaled so that the largest is 100.

Crystal structure
```
data_K3V3O8
_symmetry_space_group_name_H-M 'P 1'
_symmetry_Int_Tables_number 1
_cell_length_a 5.7555
_cell_length_b 5.7555
_cell_length_c 7.5613
_cell_angle_alpha 90.00
_cell_angle_beta 90.00
_cell_angle_gamma 120.00
loop_
_symmetry_equiv_pos_as_xyz
'x,y,z'
loop_
_atom_site_label
_atom_site_fract_x
_atom_site_fract_y
_atom_site_fract_z
_atom_site_occupancy
K1 0.0000 0.0000 0.0000 1
K2 0.3333 0.6667 0.6914 1
K3 0.6667 0.3333 0.3086 1
V1 0.0000 0.0000 0.5000 1
V2 0.3333 0.6667 0.2605 1
V3 0.6667 0.3333 0.7395 1
O1 0.1666 0.3332 0.3403 1
O2 0.1666 0.8334 0.3403 1
O3 0.3332 0.1666 0.6597 1
O4 0.3333 0.6667 0.0380 1
O5 0.6667 0.3333 0.9620 1
O6 0.6668 0.8334 0.3403 1
O7 0.8334 0.1666 0.6597 1
O8 0.8334 0.6668 0.6597 1
```

Most intense lines, 2θ = 10–80°, low angle first:
2θ (°), I (rel.)
11.7, 23
21.4, 23
29.7, 69
31.1, 100
35.6, 13
43.5, 45
51.6, 8
54.4, 22
55.3, 16
58.4, 20
64.8, 19
72.8, 9


[2]
This entry pairs a crystal structure of Li4Cr3GaO8 with its simulated X-ray powder pattern. Radiation: Cu Ka. Structure: a GGA+U-relaxed structure.
Intensities are scaled so that the largest is 100.

Crystal structure
```
data_Li4Cr3GaO8
_symmetry_space_group_name_H-M 'P 1'
_symmetry_Int_Tables_number 1
_cell_length_a 6.6562
_cell_length_b 6.6562
_cell_length_c 10.2623
_cell_angle_alpha 120.98
_cell_angle_beta 120.98
_cell_angle_gamma 52.71
loop_
_symmetry_equiv_pos_as_xyz
'x,y,z'
loop_
_atom_site_label
_atom_site_fract_x
_atom_site_fract_y
_atom_site_fract_z
_atom_site_occupancy
Li1 0.0000 0.5000 0.0000 1
Li2 0.0000 0.5000 0.5000 1
Li3 0.2500 0.2500 0.2501 1
Li4 0.2500 0.2500 0.7501 1
Li5 0.5000 0.0000 0.0000 1
Li6 0.5000 0.0000 0.5000 1
Li7 0.7500 0.7500 0.2499 1
Li8 0.7500 0.7500 0.7499 1
Cr1 0.0013 0.9987 0.7500 1
Cr2 0.2501 0.7500 0.5008 1
Cr3 0.2500 0.7499 0.9992 1
Cr4 0.7500 0.2501 0.0008 1
Cr5 0.7499 0.2500 0.4992 1
Cr6 0.9987 0.0013 0.2500 1
Ga1 0.4993 0.5007 0.2500 1
Ga2 0.5007 0.4993 0.7500 1
O1 0.1121 0.1139 0.9920 1
O2 0.1139 0.1121 0.4920 1
O3 0.1377 0.6382 0.2589 1
O4 0.1385 0.6350 0.7573 1
O5 0.3618 0.8623 0.2411 1
O6 0.3650 0.8615 0.7427 1
O7 0.3868 0.3873 0.0088 1
O8 0.3873 0.3868 0.5088 1
O9 0.6127 0.6132 0.4912 1
O10 0.6132 0.6127 0.9912 1
O11 0.6350 0.1385 0.2573 1
O12 0.6382 0.1377 0.7589 1
O13 0.8615 0.3650 0.2427 1
O14 0.8623 0.3618 0.7411 1
O15 0.8861 0.8879 0.5080 1
O16 0.8879 0.8861 0.0080 1
```

Most intense lines, 2θ = 10–80°, low angle first:
2θ (°), I (rel.)
18.2, 100
35.6, 42
36.8, 5
37.2, 13
43.1, 78
47.1, 14
56.8, 14
62.3, 21
62.8, 14
62.9, 7
65.9, 10
79.3, 6